[1]
Simulated X-ray powder pattern of YLuNi2 for Cu Kα, 1.54184 Å, from a crystal structure in Alexandria, relaxed with PBE.
Peak positions follow from Bragg's law for the DFT cell and can differ from measured ones.

Structure:
```
4
Lattice="4.7600 0.0000 0.0000 0.0000 4.7600 0.0000 0.0000 0.0000 3.3037" Properties=species:S:1:pos:R:3 pbc="T T T"
Y 0.0000 0.0000 0.0000
Lu 2.3800 2.3800 0.0000
Ni 0.0000 2.3800 1.6518
Ni 2.3800 0.0000 1.6518
```

Principal peaks in the range 10° ≤ 2θ ≤ 80°, by angle:
18.64 deg, 4.760 Å, intensity 12; 26.48 deg, 3.366 Å, intensity 15; 26.99 deg, 3.304 Å, intensity 7; 33.00 deg, 2.714 Å, intensity 6; 37.80 deg, 2.380 Å, intensity 51; 38.17 deg, 2.358 Å, intensity 100; 47.06 deg, 1.931 Å, intensity 6; 51.04 deg, 1.789 Å, intensity 4; 54.53 deg, 1.683 Å, intensity 17; 55.64 deg, 1.652 Å, intensity 8; 68.50 deg, 1.370 Å, intensity 34; 69.24 deg, 1.357 Å, intensity 17

=====

[2]
Simulated X-ray powder pattern of Lu2P4O13 for Cu Kα, 1.54184 Å, from a crystal structure in Alexandria, relaxed with PBE.
Peak positions follow from Bragg's law for the DFT cell and can differ from measured ones.

Structure:
```
38
Lattice="5.9853 -3.3694 0.0000 5.9853 3.3694 0.0000 -3.9039 0.0000 12.2345" Properties=species:S:1:pos:R:3 pbc="T T T"
Lu 2.1771 0.0406 0.6066
Lu 0.2252 -0.0406 6.7239
Lu 7.8416 0.0406 5.5106
Lu 5.8896 -0.0406 11.6279
P 1.8484 0.0894 4.1431
P -0.1035 -0.0894 10.2603
P 5.3046 1.0883 1.6212
P 4.7141 1.0883 4.4961
P 3.3527 -1.0883 7.7384
P 2.7621 -1.0883 10.6134
P 8.1702 0.0894 1.9742
P 6.2183 -0.0894 8.0915
O 1.2620 1.2563 4.9473
O -0.5168 1.1548 11.0638
O 5.5892 2.2421 0.6686
O 4.4295 2.2421 5.4487
O 1.5129 0.0445 2.6744
O -0.4390 -0.0445 8.7916
O 5.0093 1.7565 3.0586
O 4.2296 0.1069 1.2780
O 3.4495 0.1671 4.2610
O 2.2777 -0.1069 7.3953
O 1.4352 -1.1548 4.9465
O -0.6900 -1.2563 11.0646
O 1.4975 -0.1671 10.3782
O 6.5692 0.1671 1.8563
O 8.7567 1.2563 1.1699
O 6.6315 1.1548 7.2880
O 5.7890 0.1069 4.8393
O 4.6173 -0.1671 7.9736
O 3.8371 -0.1069 10.9565
O 3.0574 -1.7565 9.1759
O 8.5057 0.0445 3.4429
O 6.5538 -0.0445 9.5602
O 3.6373 -2.2421 6.7858
O 2.4775 -2.2421 11.5659
O 8.5835 -1.1548 1.1708
O 6.8048 -1.2563 7.2872
```

Principal peaks in the range 10° ≤ 2θ ≤ 80°, by angle:
14.48 deg, 6.117 Å, intensity 51; 15.54 deg, 5.702 Å, intensity 69; 19.39 deg, 4.578 Å, intensity 44; 24.36 deg, 3.654 Å, intensity 25; 26.45 deg, 3.369 Å, intensity 35; 26.96 deg, 3.307 Å, intensity 55; 30.29 deg, 2.951 Å, intensity 18; 30.85 deg, 2.898 Å, intensity 100; 36.27 deg, 2.477 Å, intensity 17; 41.81 deg, 2.160 Å, intensity 20; 47.02 deg, 1.932 Å, intensity 18; 49.58 deg, 1.838 Å, intensity 26

=====

[3]
Simulated X-ray powder pattern of LuPbO2 for Cu Kα, 1.54184 Å, from a crystal structure in Alexandria, relaxed with PBE.
Peak positions follow from Bragg's law for the DFT cell and can differ from measured ones.

Structure:
```
4
Lattice="1.7009 0.9820 7.0439 -1.7009 0.9820 7.0439 0.0000 -1.9640 7.0439" Properties=species:S:1:pos:R:3 pbc="T T T"
Lu 0.0000 0.0000 0.0000
Pb 0.0000 0.0000 10.5658
O 0.0000 0.0000 8.1176
O 0.0000 0.0000 13.0140
```

Principal peaks in the range 10° ≤ 2θ ≤ 80°, by angle:
25.29 deg, 3.522 Å, intensity 53; 31.53 deg, 2.838 Å, intensity 100; 34.87 deg, 2.573 Å, intensity 63; 46.16 deg, 1.967 Å, intensity 40; 53.35 deg, 1.717 Å, intensity 25; 53.90 deg, 1.701 Å, intensity 25; 60.44 deg, 1.532 Å, intensity 30; 63.80 deg, 1.459 Å, intensity 14; 65.82 deg, 1.419 Å, intensity 11; 70.04 deg, 1.343 Å, intensity 9; 73.63 deg, 1.286 Å, intensity 10; 78.12 deg, 1.223 Å, intensity 14